The following is a theoretical powder diffraction line list of La2Nd5Tm4. It was derived from a structure optimized by DFT (PBE), using Cu Kα, 1.54184 Å.
Intensities are scaled so that the largest is 100.

Crystal structure
Lattice parameters (Å, degrees): 9.2881 9.2881 12.2124 107.09 107.09 22.37
Element x y z (fractional)
1 La 0.1792 0.1792 0.2986
2 La 0.8208 0.8208 0.7014
3 Nd 0.0000 0.0000 0.0000
4 Nd 0.3340 0.3340 0.9881
5 Nd 0.3926 0.3926 0.4815
6 Nd 0.6074 0.6074 0.5185
7 Nd 0.6660 0.6660 0.0119
8 Tm 0.1693 0.1693 0.7697
9 Tm 0.4936 0.4936 0.2477
10 Tm 0.5064 0.5064 0.7523
11 Tm 0.8307 0.8307 0.2303

The 12 most intense peaks (5 to 70 degrees two-theta), in order of falling intensity:
two_theta  I/Imax
30.8  100
35.2  52
30.9  22
60.5  16
50.7  16
29.2  15
36.6  11
30.0  9
51.8  9
32.6  8
53.1  8
35.9  8



The following is a theoretical powder diffraction line list of La12Nd3Tm. It was derived from a structure optimized by DFT (PBE), using Cu Kα, 1.54184 Å.
Intensities are scaled so that the largest is 100.

Crystal structure
Lattice parameters (Å, degrees): 5.2333 5.2333 20.9542 90.00 90.00 90.00
Element x y z (fractional)
1 La 0.0000 0.0000 0.0000
2 La 0.0000 0.0000 0.2489
3 La 0.0000 0.0000 0.5000
4 La 0.0000 0.0000 0.7511
5 La 0.0000 0.5000 0.1232
6 La 0.0000 0.5000 0.3742
7 La 0.0000 0.5000 0.6258
8 La 0.0000 0.5000 0.8768
9 La 0.5000 0.0000 0.1232
10 La 0.5000 0.0000 0.3742
11 La 0.5000 0.0000 0.6258
12 La 0.5000 0.0000 0.8768
13 Nd 0.5000 0.5000 0.2486
14 Nd 0.5000 0.5000 0.5000
15 Nd 0.5000 0.5000 0.7514
16 Tm 0.5000 0.5000 0.0000

The 5 most intense peaks (5 to 70 degrees two-theta), in order of falling intensity:
two_theta  I/Imax
29.6  100
34.3  51
58.5  43
49.2  36
61.3  12



The following is a theoretical powder diffraction line list of La3Nd2Tm4. It was derived from a structure optimized by DFT (PBE), using Cu Kα, 1.54184 Å.
Intensities are scaled so that the largest is 100.

Crystal structure
Lattice parameters (Å, degrees): 10.1691 10.1691 6.1957 96.33 96.33 71.50
Element x y z (fractional)
1 La 0.1229 0.8771 0.7500
2 La 0.1983 0.4806 0.9048
3 La 0.4806 0.1983 0.4048
4 La 0.5194 0.8017 0.5952
5 La 0.8017 0.5194 0.0952
6 La 0.8771 0.1229 0.2500
7 Nd 0.0188 0.7500 0.2088
8 Nd 0.2500 0.9812 0.2912
9 Nd 0.7500 0.0188 0.7088
10 Nd 0.9812 0.2500 0.7912
11 Tm 0.1123 0.3482 0.3588
12 Tm 0.3280 0.5597 0.4590
13 Tm 0.3482 0.1123 0.8588
14 Tm 0.4403 0.6720 0.0410
15 Tm 0.5597 0.3280 0.9590
16 Tm 0.6518 0.8877 0.1412
17 Tm 0.6720 0.4403 0.5410
18 Tm 0.8877 0.6518 0.6412

The 12 most intense peaks (5 to 70 degrees two-theta), in order of falling intensity:
two_theta  I/Imax
30.1  100
31.7  89
29.8  52
54.5  35
36.9  30
37.1  27
48.5  13
50.3  12
48.3  12
50.8  11
66.2  10
62.5  10



The following is a theoretical powder diffraction line list of LaNdTm. It was derived from a structure optimized by DFT (PBE), using Cu Kα, 1.54184 Å.
Intensities are scaled so that the largest is 100.

Crystal structure
Lattice parameters (Å, degrees): 5.7702 5.7702 3.5088 90.00 90.00 120.00
Element x y z (fractional)
1 La 0.0000 0.0000 0.0000
2 Nd 0.6667 0.3333 0.5005
3 Tm 0.3333 0.6667 0.0015

The 11 most intense peaks (5 to 70 degrees two-theta), in order of falling intensity:
two_theta  I/Imax
31.0  100
31.1  87
55.2  54
44.5  33
61.9  28
40.5  12
64.6  12
52.1  8
25.4  7
61.6  4
17.7  1



The following is a theoretical powder diffraction line list of La3Nd2Tm7. It was derived from a structure optimized by DFT (PBE), using Cu Kα, 1.54184 Å.
Intensities are scaled so that the largest is 100.

Crystal structure
Lattice parameters (Å, degrees): 6.3579 3.5494 17.6214 90.00 96.52 90.00
Element x y z (fractional)
1 La 0.0000 0.0000 0.0000
2 La 0.0441 0.5000 0.6601
3 La 0.9559 0.5000 0.3399
4 Nd 0.4485 0.0000 0.3249
5 Nd 0.5515 0.0000 0.6751
6 Tm 0.2288 0.5000 0.1634
7 Tm 0.2466 0.0000 0.4983
8 Tm 0.2766 0.0000 0.8364
9 Tm 0.5000 0.5000 0.0000
10 Tm 0.7234 0.0000 0.1636
11 Tm 0.7534 0.0000 0.5017
12 Tm 0.7712 0.5000 0.8366

The 12 most intense peaks (5 to 70 degrees two-theta), in order of falling intensity:
two_theta  I/Imax
30.6  100
31.2  57
34.6  38
33.8  35
29.6  29
61.1  28
50.1  19
37.7  18
52.5  14
51.5  13
63.0  12
58.5  11



The following is a theoretical powder diffraction line list of LaNd2YTm. It was derived from a structure optimized by DFT (PBE), using Cu Kα, 1.54184 Å.
Intensities are scaled so that the largest is 100.

Crystal structure
Lattice parameters (Å, degrees): 9.1258 6.4313 6.4241 90.00 109.20 90.00
Element x y z (fractional)
1 La 0.0000 0.0000 0.0000
2 La 0.0000 0.0000 0.5000
3 Nd 0.3170 0.3157 0.1617
4 Nd 0.3170 0.6843 0.6617
5 Nd 0.6830 0.3157 0.3383
6 Nd 0.6830 0.6843 0.8383
7 Y 0.5000 0.1669 0.7500
8 Y 0.5000 0.8331 0.2500
9 Tm 0.0000 0.4930 0.7500
10 Tm 0.0000 0.5070 0.2500

The 12 most intense peaks (5 to 70 degrees two-theta), in order of falling intensity:
two_theta  I/Imax
29.7  100
31.1  83
34.8  55
37.2  53
38.0  51
32.3  50
32.9  44
32.6  41
27.8  40
33.1  37
61.6  34
31.6  33



The following is a theoretical powder diffraction line list of La2Nd5Y12. It was derived from a structure optimized by DFT (PBE), using Cu Kα, 1.54184 Å.
Intensities are scaled so that the largest is 100.

Crystal structure
Lattice parameters (Å, degrees): 9.1855 9.1855 8.7651 91.77 91.77 62.04
Element x y z (fractional)
1 La 0.1757 0.8243 0.0000
2 La 0.8243 0.1757 0.0000
3 Nd 0.2049 0.2049 0.0178
4 Nd 0.2696 0.2696 0.4265
5 Nd 0.5000 0.5000 0.5000
6 Nd 0.7304 0.7304 0.5735
7 Nd 0.7951 0.7951 0.9822
8 Y 0.0582 0.0582 0.3323
9 Y 0.0604 0.6825 0.3410
10 Y 0.1730 0.5276 0.7592
11 Y 0.3175 0.9396 0.6590
12 Y 0.4217 0.4217 0.1253
13 Y 0.4724 0.8270 0.2408
14 Y 0.5276 0.1730 0.7592
15 Y 0.5783 0.5783 0.8747
16 Y 0.6825 0.0604 0.3410
17 Y 0.8270 0.4724 0.2408
18 Y 0.9396 0.3175 0.6590
19 Y 0.9418 0.9418 0.6677

The 12 most intense peaks (5 to 70 degrees two-theta), in order of falling intensity:
two_theta  I/Imax
31.3  100
32.4  76
31.1  75
29.7  53
34.9  39
30.6  36
30.7  35
29.5  31
27.7  29
35.4  29
31.6  28
57.6  28



The following is a theoretical powder diffraction line list of La3Nd2Y3. It was derived from a structure optimized by DFT (PBE), using Cu Kα, 1.54184 Å.
Intensities are scaled so that the largest is 100.

Crystal structure
Lattice parameters (Å, degrees): 11.0355 11.0355 11.0355 153.08 152.71 38.71
Element x y z (fractional)
1 La 0.0000 0.0000 0.0000
2 La 0.3769 0.8769 0.5000
3 La 0.6231 0.1231 0.5000
4 Nd 0.2490 0.2490 0.0000
5 Nd 0.7510 0.7510 0.0000
6 Y 0.1261 0.6261 0.5000
7 Y 0.5000 0.5000 0.0000
8 Y 0.8739 0.3739 0.5000

The 12 most intense peaks (5 to 70 degrees two-theta), in order of falling intensity:
two_theta  I/Imax
29.9  100
34.5  34
58.9  28
49.9  24
34.9  17
59.5  14
62.0  12
49.5  12
17.8  2
8.5  1
27.4  1
21.3  1